This entry pairs a crystal structure of Ti3FeSb2P6O24 with its calculated XRD peak list. Radiation: Cu Kα X-rays. Structure: a GGA+U-relaxed structure.

The 6 most intense peaks (15° ≤ 2θ ≤ 90°), by angle:
- 20.3°, I 100.0
- 23.7°, I 71.7
- 24.8°, I 32.5
- 31.9°, I 97.5
- 35.5°, I 39.8
- 48.4°, I 35.4

Structure:
```
Ti3FeSb2P6O24
1.0
4.382 2.530 7.310
-4.382 2.530 7.310
0.000 -5.060 7.310
Ti Fe Sb P O
3 1 2 6 24
direct
0.000 0.000 0.000
0.206 0.206 0.206
0.504 0.504 0.504
0.703 0.703 0.703
0.351 0.351 0.351
0.846 0.846 0.846
0.108 0.813 0.393
0.312 0.606 0.898
0.393 0.108 0.813
0.606 0.898 0.312
0.813 0.393 0.108
0.898 0.312 0.606
0.050 0.850 0.238
0.089 0.287 0.436
0.120 0.768 0.918
0.166 0.970 0.352
0.238 0.050 0.850
0.274 0.623 0.413
0.287 0.436 0.089
0.349 0.551 0.740
0.352 0.166 0.970
0.413 0.274 0.623
0.436 0.089 0.287
0.464 0.655 0.874
0.551 0.740 0.349
0.585 0.944 0.797
0.623 0.413 0.274
0.655 0.874 0.464
0.740 0.349 0.551
0.768 0.918 0.120
0.797 0.585 0.944
0.850 0.238 0.050
0.874 0.464 0.655
0.918 0.120 0.768
0.944 0.797 0.585
0.970 0.352 0.166
```



This entry pairs a crystal structure of Li2MnH4S2O10 with its calculated XRD peak list. Radiation: Cu Kα X-rays. Structure: a GGA+U-relaxed structure.

The 6 most intense peaks (15° ≤ 2θ ≤ 90°), by angle:
- 17.1°, I 100.0
- 24.9°, I 57.9
- 25.4°, I 61.3
- 26.3°, I 59.5
- 27.7°, I 89.3
- 34.8°, I 30.5

Structure:
```
Li2MnH4S2O10
1.0
5.680 0.000 0.000
-2.556 6.979 0.000
-1.690 -2.772 9.996
Li Mn H S O
4 2 8 4 20
direct
0.154 0.230 0.376
0.188 0.268 0.915
0.812 0.732 0.085
0.846 0.770 0.624
0.494 0.972 0.248
0.506 0.028 0.752
0.327 0.314 0.701
0.384 0.628 0.628
0.408 0.583 0.185
0.489 0.688 0.785
0.511 0.312 0.215
0.592 0.417 0.815
0.616 0.372 0.372
0.673 0.686 0.299
0.144 0.772 0.435
0.153 0.762 0.926
0.847 0.238 0.074
0.856 0.228 0.565
0.115 0.385 0.099
0.135 0.345 0.574
0.153 0.871 0.322
0.163 0.884 0.826
0.210 0.896 0.064
0.236 0.932 0.565
0.297 0.650 0.430
0.345 0.669 0.920
0.422 0.303 0.787
0.468 0.277 0.298
0.532 0.723 0.702
0.578 0.697 0.213
0.655 0.331 0.080
0.703 0.350 0.570
0.764 0.068 0.435
0.790 0.104 0.936
0.837 0.116 0.174
0.847 0.129 0.678
0.865 0.655 0.426
0.885 0.615 0.901
```



This entry pairs a crystal structure of Li8Fe7O15 with its calculated XRD peak list. Radiation: Cu Kα X-rays. Structure: a GGA+U-relaxed structure.

The 6 most intense peaks (15° ≤ 2θ ≤ 90°), by angle:
- 21.1°, I 39.6
- 24.1°, I 39.1
- 25.7°, I 38.6
- 30.0°, I 36.9
- 42.5°, I 100.0
- 45.4°, I 39.4

Structure:
```
Li8Fe7O15
1.0
10.715 -1.504 0.000
10.715 1.504 0.000
-1.508 0.000 8.412
Li Fe O
8 7 15
direct
0.033 0.033 0.234
0.099 0.099 0.697
0.166 0.166 0.172
0.235 0.235 0.629
0.765 0.765 0.371
0.834 0.834 0.828
0.901 0.901 0.303
0.967 0.967 0.766
0.300 0.300 0.115
0.363 0.363 0.572
0.433 0.433 0.034
0.500 0.500 0.500
0.567 0.567 0.966
0.637 0.637 0.428
0.700 0.700 0.885
0.000 0.000 0.000
0.065 0.065 0.466
0.132 0.132 0.934
0.193 0.193 0.402
0.262 0.262 0.876
0.334 0.334 0.336
0.401 0.401 0.805
0.466 0.466 0.264
0.534 0.534 0.736
0.599 0.599 0.195
0.666 0.666 0.664
0.738 0.738 0.124
0.807 0.807 0.598
0.868 0.868 0.066
0.935 0.935 0.534
```



This entry pairs a crystal structure of MgFe6O10F2 with its calculated XRD peak list. Radiation: Cu Kα X-rays. Structure: a GGA+U-relaxed structure.

The 6 most intense peaks (15° ≤ 2θ ≤ 90°), by angle:
- 24.0°, I 100.0
- 27.2°, I 88.6
- 35.0°, I 29.4
- 35.4°, I 45.7
- 49.1°, I 22.7
- 50.0°, I 23.4

Structure:
```
MgFe6O10F2
1.0
5.721 0.000 0.000
-2.128 5.502 0.000
-1.013 -3.052 6.876
Mg Fe O F
1 6 10 2
direct
0.000 0.000 0.000
0.007 0.453 0.943
0.295 0.558 0.351
0.361 0.997 0.801
0.606 0.016 0.162
0.631 0.530 0.665
0.987 0.011 0.503
0.017 0.686 0.807
0.078 0.164 0.787
0.220 0.838 0.525
0.273 0.335 0.493
0.332 0.697 0.156
0.389 0.155 0.079
0.596 0.837 0.874
0.635 0.317 0.814
0.663 0.700 0.479
0.956 0.319 0.160
0.740 0.186 0.449
0.886 0.862 0.201
```



This entry pairs a crystal structure of LiCr2P3O12 with its calculated XRD peak list. Radiation: Cu Kα X-rays. Structure: a GGA+U-relaxed structure.

The 6 most intense peaks (15° ≤ 2θ ≤ 90°), by angle:
- 20.8°, I 63.2
- 20.9°, I 52.3
- 24.4°, I 100.0
- 24.6°, I 50.0
- 29.5°, I 32.5
- 36.3°, I 32.6

Structure:
```
LiCr2P3O12
1.0
7.346 -4.289 0.000
7.346 4.289 0.000
-4.939 0.000 6.993
Li Cr P O
2 4 6 24
direct
0.000 0.500 0.000
0.500 0.000 0.500
0.137 0.637 0.853
0.363 0.863 0.647
0.637 0.137 0.353
0.863 0.363 0.147
0.040 0.960 0.250
0.253 0.455 0.464
0.455 0.253 0.964
0.545 0.747 0.036
0.747 0.545 0.536
0.960 0.040 0.750
0.010 0.125 0.202
0.065 0.764 0.084
0.090 0.443 0.266
0.125 0.010 0.702
0.187 0.478 0.614
0.236 0.935 0.416
0.259 0.414 0.939
0.317 0.621 0.519
0.379 0.683 0.981
0.414 0.259 0.439
0.443 0.090 0.766
0.478 0.187 0.114
0.522 0.813 0.886
0.557 0.910 0.234
0.586 0.741 0.561
0.621 0.317 0.019
0.683 0.379 0.481
0.741 0.586 0.061
0.764 0.065 0.584
0.813 0.522 0.386
0.875 0.990 0.298
0.910 0.557 0.734
0.935 0.236 0.916
0.990 0.875 0.798
```